Entry 1:
The following is a simulated powder diffractogram of ZrTl3V2Se6. It was derived from a DFT-relaxed cell (GGA-PBE, Alexandria), using Cu Kα (weighted mean of Kα1 and Kα2).
Lines closer than 0.1° are merged.

Principal peaks in the range 10° ≤ 2θ ≤ 80°, sorted by position:
2θ 27.50, rel. 29.7, (1 3 0)
2θ 29.66, rel. 62.2, (2 0 1)
2θ 35.41, rel. 100.0, (2 0 -2)
2θ 48.62, rel. 32.0, (3 3 0)
2θ 53.18, rel. 18.0, (1 3 -4)
2θ 61.56, rel. 16.7, (2 6 -2)

Atomic structure:
abc: 6.4914 11.2277 8.1269
angles: 90.00 90.12 90.00
Space group C2/m (No. 12)
Asymmetric unit:
Zr  0.0000  0.0000  0.0000
Tl  0.0000  0.0000  0.5000
Tl  0.0000  0.3337  0.5000
V  0.0000  0.3332  0.0000
Se  0.1523  0.5000  0.1843
Se  0.1748  0.1742  0.1845

=====

Entry 2:
The following is a simulated powder diffractogram of Na6PdPb12. It was derived from a DFT-relaxed cell (GGA-PBE, Alexandria), using Cu Kα (weighted mean of Kα1 and Kα2).
Lines closer than 0.1° are merged.

Principal peaks in the range 10° ≤ 2θ ≤ 80°, sorted by position:
2θ 21.26, rel. 37.7, (3 -1 1)
2θ 29.38, rel. 41.8, (1 1 3)
2θ 33.83, rel. 100.0, (4 1 0)
2θ 34.61, rel. 47.0, (0 3 3)
2θ 36.98, rel. 38.9, (2 2 3)
2θ 54.45, rel. 31.8, (0 0 6)

Atomic structure:
abc: 14.0196 14.0196 10.1208
angles: 90.00 90.00 120.00
Space group R-3 (No. 148, hexagonal axes)
Asymmetric unit:
Na  0.0512  0.8340  0.2481
Pd  0.0000  0.0000  0.5000
Pb  0.0508  0.8251  0.5844
Pb  0.0519  0.8155  0.9152

=====

Entry 3:
The following is a simulated powder diffractogram of KRb3Mg2H9. It was derived from a DFT-relaxed cell (GGA-PBE, Alexandria), using Cu Kα (weighted mean of Kα1 and Kα2).
Lines closer than 0.1° are merged.

Principal peaks in the range 10° ≤ 2θ ≤ 80°, sorted by position:
2θ 20.38, rel. 49.0, (1 0 1)
2θ 28.71, rel. 100.0, (0 1 2)
2θ 29.25, rel. 94.9, (1 1 0)
2θ 41.45, rel. 38.6, (2 0 2)
2θ 50.51, rel. 19.5, (1 0 4)
2θ 51.53, rel. 37.0, (1 2 2)

Atomic structure:
abc: 6.1060 6.1060 7.6902
angles: 90.00 90.00 120.00
Space group P-3m1 (No. 164)
Asymmetric unit:
K  0.0000  0.0000  0.0000
Rb  0.0000  0.0000  0.5000
Rb  0.3333  0.6667  0.1706
Mg  0.3333  0.6667  0.6550
H  0.0000  0.5000  0.5000
H  0.1834  0.3668  0.7928

=====

Entry 4:
The following is a simulated powder diffractogram of Nd11Ag4Hg9. It was derived from a DFT-relaxed cell (GGA-PBE, Alexandria), using Cu Kα (weighted mean of Kα1 and Kα2).
Lines closer than 0.1° are merged.

Principal peaks in the range 10° ≤ 2θ ≤ 80°, sorted by position:
2θ 33.37, rel. 100.0, (4 0 1)
2θ 33.71, rel. 51.0, (4 6 0)
2θ 47.40, rel. 14.5, (0 0 2)
2θ 48.41, rel. 13.1, (8 0 0)
2θ 59.42, rel. 20.1, (4 6 2)
2θ 60.07, rel. 14.8, (8 6 1)

Atomic structure:
abc: 15.0378 22.5644 3.8363
angles: 90.00 90.00 90.00
Space group Cmmm (No. 65)
Asymmetric unit:
Nd  0.0000  0.0000  0.0000
Nd  0.0000  0.1694  0.0000
Nd  0.0000  0.3638  0.0000
Nd  0.2212  0.5000  0.0000
Nd  0.2364  0.1739  0.0000
Ag  0.1500  0.4032  0.5000
Hg  0.0000  0.5000  0.5000
Hg  0.1077  0.2648  0.5000
Hg  0.1361  0.0757  0.5000